(1)
Diffraction record for PmCd3Ni. The powder X-ray diffraction pattern is simulated, not measured: it uses a cell relaxed with GGA-PBE and Cu Ka.

Most intense lines, 2θ = 10–80°, sorted by position:
Position (°2θ)	intensity
30.48	48
31.45	32
34.85	57
35.04	100
35.76	26
37.18	76
37.54	22
39.06	37
40.79	28
42.81	33

Crystal structure
Lattice parameters (Å, degrees): 5.4725 5.8361 6.7877 90.00 91.72 90.00
Fractional positions:
Pm: 0.1462 0.2500 0.3776
Pm: 0.8538 0.7500 0.6224
Cd: 0.1002 0.7500 0.1165
Cd: 0.3704 0.0035 0.7978
Cd: 0.3704 0.4965 0.7978
Cd: 0.6296 0.5035 0.2022
Cd: 0.6296 0.9965 0.2022
Cd: 0.8998 0.2500 0.8835
Ni: 0.3436 0.7500 0.4631
Ni: 0.6564 0.2500 0.5369

---

(2)
Diffraction record for Pm12CdNi6. The powder X-ray diffraction pattern is simulated, not measured: it uses a cell relaxed with GGA-PBE and Cu Ka.

Most intense lines, 2θ = 10–80°, sorted by position:
Position (°2θ)	intensity
28.29	42
31.06	37
33.61	100
36.01	14
38.28	10
46.41	21
53.57	34
55.25	14
56.90	33
66.25	17

Crystal structure
Lattice parameters (Å, degrees): 8.6392 8.6392 8.6392 109.47 109.47 109.47
Fractional positions:
Pm: 0.1196 0.3057 0.8139
Pm: 0.1861 0.4918 0.3057
Pm: 0.1861 0.8804 0.6943
Pm: 0.3057 0.1861 0.4918
Pm: 0.3057 0.8139 0.1196
Pm: 0.4918 0.3057 0.1861
Pm: 0.5082 0.6943 0.8139
Pm: 0.6943 0.1861 0.8804
Pm: 0.6943 0.8139 0.5082
Pm: 0.8139 0.1196 0.3057
Pm: 0.8139 0.5082 0.6943
Pm: 0.8804 0.6943 0.1861
Cd: 0.0000 0.0000 0.0000
Ni: 0.1217 0.5000 0.6217
Ni: 0.3783 0.8783 0.5000
Ni: 0.5000 0.3783 0.8783
Ni: 0.5000 0.6217 0.1217
Ni: 0.6217 0.1217 0.5000
Ni: 0.8783 0.5000 0.3783

---

(3)
Diffraction record for Pm6CdNi2. The powder X-ray diffraction pattern is simulated, not measured: it uses a cell relaxed with GGA-PBE and Cu Ka.

Most intense lines, 2θ = 10–80°, sorted by position:
Position (°2θ)	intensity
28.01	18
29.65	32
31.16	99
33.25	100
33.91	34
34.62	39
38.00	18
38.61	16
54.12	17
58.76	29

Crystal structure
Lattice parameters (Å, degrees): 8.6354 8.6354 8.6354 113.48 108.89 106.13
Fractional positions:
Pm: 0.0293 0.2303 0.7989
Pm: 0.1818 0.2936 0.4754
Pm: 0.1818 0.7064 0.8882
Pm: 0.3232 0.0148 0.6917
Pm: 0.3232 0.6315 0.3083
Pm: 0.4314 0.2303 0.2011
Pm: 0.5686 0.7697 0.7989
Pm: 0.6768 0.3685 0.6917
Pm: 0.6768 0.9852 0.3083
Pm: 0.8182 0.2936 0.1118
Pm: 0.8182 0.7064 0.5246
Pm: 0.9707 0.7697 0.2011
Cd: 0.0000 0.0000 0.0000
Cd: 0.5000 0.5000 0.0000
Ni: 0.1209 0.6209 0.5000
Ni: 0.3565 0.0000 0.3565
Ni: 0.6435 0.0000 0.6435
Ni: 0.8791 0.3791 0.5000

---

(4)
Diffraction record for PrCd4Ni. The powder X-ray diffraction pattern is simulated, not measured: it uses a cell relaxed with GGA-PBE and Cu Ka.

Most intense lines, 2θ = 10–80°, sorted by position:
Position (°2θ)	intensity
32.06	100
33.81	42
34.17	15
36.89	14
38.46	19
38.67	42
40.18	14
41.73	32
42.88	20
64.53	20

Crystal structure
Lattice parameters (Å, degrees): 8.4350 4.3292 7.3099 90.00 90.00 90.00
Fractional positions:
Pr: 0.2500 0.0000 0.0959
Pr: 0.7500 0.0000 0.9041
Cd: 0.0000 0.0000 0.5000
Cd: 0.0583 0.5000 0.8065
Cd: 0.2500 0.5000 0.4473
Cd: 0.4417 0.5000 0.8065
Cd: 0.5000 0.0000 0.5000
Cd: 0.5583 0.5000 0.1935
Cd: 0.7500 0.5000 0.5527
Cd: 0.9417 0.5000 0.1935
Ni: 0.2500 0.0000 0.7158
Ni: 0.7500 0.0000 0.2842

---

(5)
Diffraction record for Pr3Cd2Ni. The powder X-ray diffraction pattern is simulated, not measured: it uses a cell relaxed with GGA-PBE and Cu Ka.

Most intense lines, 2θ = 10–80°, sorted by position:
Position (°2θ)	intensity
30.04	92
30.98	75
31.36	25
32.23	100
33.35	79
33.57	70
47.06	69
49.94	25
61.39	26
70.08	33

Crystal structure
Lattice parameters (Å, degrees): 8.9690 8.9690 7.3042 90.00 90.00 34.86
Fractional positions:
Pr: 0.0076 0.9924 0.7500
Pr: 0.3670 0.3670 0.0000
Pr: 0.3670 0.3670 0.5000
Pr: 0.6330 0.6330 0.0000
Pr: 0.6330 0.6330 0.5000
Pr: 0.9924 0.0076 0.2500
Cd: 0.1978 0.1991 0.2500
Cd: 0.1991 0.1978 0.7500
Cd: 0.8009 0.8022 0.2500
Cd: 0.8022 0.8009 0.7500
Ni: 0.4926 0.5074 0.2500
Ni: 0.5074 0.4926 0.7500

---

(6)
Diffraction record for PrCd2Ni9. The powder X-ray diffraction pattern is simulated, not measured: it uses a cell relaxed with GGA-PBE and Cu Ka.

Most intense lines, 2θ = 10–80°, sorted by position:
Position (°2θ)	intensity
35.25	47
36.31	41
42.58	33
43.12	100
45.70	19
45.86	17
64.64	15
69.09	14
70.03	22
77.10	20

Crystal structure
Lattice parameters (Å, degrees): 4.9483 4.9483 15.8288 90.00 90.00 120.00
Fractional positions:
Pr: 0.3333 0.6667 0.2500
Pr: 0.6667 0.3333 0.7500
Cd: 0.3333 0.6667 0.0341
Cd: 0.3333 0.6667 0.4659
Cd: 0.6667 0.3333 0.5341
Cd: 0.6667 0.3333 0.9659
Ni: 0.0000 0.0000 0.0000
Ni: 0.0000 0.0000 0.2500
Ni: 0.0000 0.0000 0.5000
Ni: 0.0000 0.0000 0.7500
Ni: 0.1673 0.3346 0.6241
Ni: 0.1673 0.3346 0.8759
Ni: 0.1673 0.8327 0.6241
Ni: 0.1673 0.8327 0.8759
Ni: 0.3333 0.6667 0.7500
Ni: 0.3346 0.1673 0.1241
Ni: 0.3346 0.1673 0.3759
Ni: 0.6654 0.8327 0.6241
Ni: 0.6654 0.8327 0.8759
Ni: 0.6667 0.3333 0.2500
Ni: 0.8327 0.1673 0.1241
Ni: 0.8327 0.1673 0.3759
Ni: 0.8327 0.6654 0.1241
Ni: 0.8327 0.6654 0.3759

---

(7)
Diffraction record for PrCd20Ni2. The powder X-ray diffraction pattern is simulated, not measured: it uses a cell relaxed with GGA-PBE and Cu Ka.

Most intense lines, 2θ = 10–80°, sorted by position:
Position (°2θ)	intensity
33.55	100
35.94	35
37.31	64
37.76	64
39.51	20
40.78	27
48.91	23
58.08	18
67.00	42
70.22	18

Crystal structure
Lattice parameters (Å, degrees): 11.1744 11.1744 11.1744 60.00 60.00 60.00
Fractional positions:
Pr: 0.1250 0.1250 0.1250
Pr: 0.8750 0.8750 0.8750
Cd: 0.0000 0.0000 0.0000
Cd: 0.0000 0.0000 0.5000
Cd: 0.0000 0.5000 0.0000
Cd: 0.0559 0.3246 0.3246
Cd: 0.0559 0.3246 0.7948
Cd: 0.0559 0.7948 0.3246
Cd: 0.2052 0.6754 0.6754
Cd: 0.2052 0.6754 0.9441
Cd: 0.2052 0.9441 0.6754
Cd: 0.2382 0.2382 0.5118
Cd: 0.2382 0.5118 0.2382
Cd: 0.2382 0.5118 0.5118
Cd: 0.3246 0.0559 0.3246
Cd: 0.3246 0.0559 0.7948
Cd: 0.3246 0.3246 0.0559
Cd: 0.3246 0.3246 0.7948
Cd: 0.3246 0.7948 0.0559
Cd: 0.3246 0.7948 0.3246
Cd: 0.4882 0.4882 0.7618
Cd: 0.4882 0.7618 0.4882
Cd: 0.4882 0.7618 0.7618
Cd: 0.5000 0.0000 0.0000
Cd: 0.5118 0.2382 0.2382
Cd: 0.5118 0.2382 0.5118
Cd: 0.5118 0.5118 0.2382
Cd: 0.6754 0.2052 0.6754
Cd: 0.6754 0.2052 0.9441
Cd: 0.6754 0.6754 0.2052
Cd: 0.6754 0.6754 0.9441
Cd: 0.6754 0.9441 0.2052
Cd: 0.6754 0.9441 0.6754
Cd: 0.7618 0.4882 0.4882
Cd: 0.7618 0.4882 0.7618
Cd: 0.7618 0.7618 0.4882
Cd: 0.7948 0.0559 0.3246
Cd: 0.7948 0.3246 0.0559
Cd: 0.7948 0.3246 0.3246
Cd: 0.9441 0.2052 0.6754
Cd: 0.9441 0.6754 0.2052
Cd: 0.9441 0.6754 0.6754
Ni: 0.0000 0.5000 0.5000
Ni: 0.5000 0.0000 0.5000
Ni: 0.5000 0.5000 0.0000
Ni: 0.5000 0.5000 0.5000

---

(8)
Diffraction record for Pr6CdNi. The powder X-ray diffraction pattern is simulated, not measured: it uses a cell relaxed with GGA-PBE and Cu Ka.

Most intense lines, 2θ = 10–80°, sorted by position:
Position (°2θ)	intensity
28.40	25
29.12	37
31.51	67
31.65	100
32.24	66
32.71	38
33.89	27
46.97	33
51.79	28
55.82	23

Crystal structure
Lattice parameters (Å, degrees): 7.0703 10.5792 6.6533 90.00 101.31 90.00
Fractional positions:
Pr: 0.1250 0.2037 0.2733
Pr: 0.1250 0.7963 0.2733
Pr: 0.2413 0.5000 0.1016
Pr: 0.2587 0.0000 0.8984
Pr: 0.3750 0.2963 0.7267
Pr: 0.3750 0.7037 0.7267
Pr: 0.6250 0.2963 0.2733
Pr: 0.6250 0.7037 0.2733
Pr: 0.7413 0.0000 0.1016
Pr: 0.7587 0.5000 0.8984
Pr: 0.8750 0.2037 0.7267
Pr: 0.8750 0.7963 0.7267
Cd: 0.0000 0.5000 0.5000
Cd: 0.5000 0.0000 0.5000
Ni: 0.0000 0.0000 0.5000
Ni: 0.5000 0.5000 0.5000